Entry 1:
Simulated powder XRD pattern of PmScCBr for copper Kα, from DFT lattice parameters and positions (GGA-PBE).
Lines closer than 0.1° are merged.

```
data_PmScCBr
_chemical_formula_sum 'Pm3 Sc3 C3 Br3'
_symmetry_space_group_name_H-M 'R 3 m'
_symmetry_Int_Tables_number 160
_symmetry_space_group_name_Hall 'R 3 -2"'
_cell_length_a 3.6086
_cell_length_b 3.6086
_cell_length_c 21.1589
_cell_angle_alpha 90.00
_cell_angle_beta 90.00
_cell_angle_gamma 120.00
loop_
_atom_site_label
_atom_site_type_symbol
_atom_site_fract_x
_atom_site_fract_y
_atom_site_fract_z
Pm1 Pm 0.0000 0.0000 0.0000
Sc1 Sc 0.0000 0.0000 0.7854
C1 C 0.0000 0.0000 0.4033
Br1 Br 0.0000 0.0000 0.2185
```

Principal peaks in the range 10 to 80 degrees two-theta, by intensity:
index, 2theta, intensity
0 1 5, 35.7, 100
1 0 4, 33.3, 87
1 0 1, 28.9, 70
1 1 0, 50.6, 40
0 0 3, 12.6, 33
1 1 9, 65.2, 32

=====

Entry 2:
Simulated powder XRD pattern of CaAlOs2 for copper Kα, from DFT lattice parameters and positions (GGA-PBE).
Lines closer than 0.1° are merged.

```
data_CaAlOs2
_chemical_formula_sum 'Ca4 Al4 Os8'
_symmetry_space_group_name_H-M 'C 1 m 1'
_symmetry_Int_Tables_number 8
_cell_length_a 11.319
_cell_length_b 4.303
_cell_length_c 7.140
_cell_angle_alpha 90.00
_cell_angle_beta 116.23
_cell_angle_gamma 90.00
loop_
_symmetry_equiv_pos_as_xyz
'x,y,z'
'x,-y,z'
'x+1/2,y+1/2,z'
'x+1/2,-y+1/2,z'
loop_
_atom_site_label
_atom_site_type_symbol
_atom_site_fract_x
_atom_site_fract_y
_atom_site_fract_z
Ca1 Ca 0.000 0.000 0.000
Ca2 Ca 0.167 0.500 0.440
Al1 Al 0.277 0.500 0.121
Al2 Al 0.467 0.500 0.535
Os1 Os 0.095 0.500 0.768
Os2 Os 0.233 0.000 0.865
Os3 Os 0.357 0.000 0.300
Os4 Os 0.361 0.000 0.662
```

Principal peaks in the range 10 to 80 degrees two-theta, by intensity:
index, 2theta, intensity
1 1 0, 22.4, 100
0 0 1, 13.8, 61
2 0 -1, 16.8, 48
0 2 0, 42.0, 41
3 1 0, 33.7, 38
3 1 1, 41.0, 34